For SrTl4Au2, a GGA-PBE-relaxed structure gives the theoretical powder X-ray diffraction pattern in this record (Cu Ka).
Lines closer than 0.1° are merged.

a b c (Å): 19.873 4.793 8.149
angles (deg): 90.00 90.00 90.00
Fractional positions:
Sr  0.144  0.250  0.046
Sr  0.356  0.750  0.546
Sr  0.644  0.250  0.454
Sr  0.856  0.750  0.954
Tl  0.033  0.750  0.838
Tl  0.069  0.250  0.517
Tl  0.185  0.750  0.349
Tl  0.188  0.750  0.746
Tl  0.312  0.250  0.246
Tl  0.315  0.250  0.849
Tl  0.431  0.750  0.017
Tl  0.467  0.250  0.338
Tl  0.533  0.750  0.662
Tl  0.569  0.250  0.983
Tl  0.685  0.750  0.151
Tl  0.688  0.750  0.754
Tl  0.812  0.250  0.254
Tl  0.815  0.250  0.651
Tl  0.931  0.750  0.483
Tl  0.967  0.250  0.162
Au  0.049  0.750  0.212
Au  0.227  0.250  0.550
Au  0.273  0.750  0.050
Au  0.451  0.250  0.712
Au  0.549  0.750  0.288
Au  0.727  0.250  0.950
Au  0.773  0.750  0.450
Au  0.951  0.250  0.788

Most intense lines, 15 to 90 degrees two-theta, sorted by position:
d [Å]  I/Imax
2.963  100
2.864  87
2.725  25
2.397  66
2.299  25
2.265  50